# AcNdC3N6
Theoretical powder diffraction line list, Cu Ka. Input: the GGA-PBE geometry in Alexandria.
Kinematic intensities with the Lorentz-polarization factor, no thermal factor.

Main lines, low angle first (10° ≤ 2θ ≤ 80°):
d_spacing, 2θ (°), I_rel
5.623, 15.76, 70.2
5.111, 17.35, 41.8
4.746, 18.70, 66.7
3.489, 25.53, 60.8
2.882, 31.03, 100.0
2.735, 32.75, 24.6
2.189, 41.24, 22.4
2.062, 43.92, 32.4
2.015, 45.00, 19.7
1.874, 48.58, 24.1

Structure:
Unit cell a=6.9787 b=6.9787 c=15.3329 alpha=90.00 beta=90.00 gamma=120.00
Space group R3 (No. 146, hexagonal axes)
Symmetry-distinct sites (fractional):
1 Ac 0.0000 0.0000 0.0000
2 Nd 0.0000 0.0000 0.3598
3 C 0.0318 0.2885 0.1838
4 N 0.0048 0.4579 0.7779
5 N 0.0889 0.3647 0.9229


# Na2Ga6Pt9
Theoretical powder diffraction line list, Cu Ka. Input: the GGA-PBE geometry in Alexandria.
Kinematic intensities with the Lorentz-polarization factor, no thermal factor.

Main lines, low angle first (10° ≤ 2θ ≤ 80°):
d_spacing, 2θ (°), I_rel
4.880, 18.18, 70.7
3.949, 22.51, 38.9
3.070, 29.09, 12.7
2.440, 36.84, 53.0
2.294, 39.28, 41.2
2.076, 43.60, 100.0
1.975, 45.96, 18.8
1.830, 49.82, 11.2
1.535, 60.30, 25.1
1.409, 66.36, 19.4

Structure:
Unit cell a=5.6350 b=5.6350 c=11.8478 alpha=90.00 beta=90.00 gamma=120.00
Space group P6/mmm (No. 191)
Symmetry-distinct sites (fractional):
1 Na 0.0000 0.0000 0.1968
2 Ga 0.3333 0.6667 0.1663
3 Ga 0.3333 0.6667 0.5000
4 Pt 0.0000 0.5000 0.0000
5 Pt 0.0000 0.5000 0.3326


# AcAlVGe2
Theoretical powder diffraction line list, Cu Ka. Input: the GGA-PBE geometry in Alexandria.
Kinematic intensities with the Lorentz-polarization factor, no thermal factor.

Main lines, low angle first (10° ≤ 2θ ≤ 80°):
d_spacing, 2θ (°), I_rel
6.316, 14.02, 22.4
3.454, 25.79, 71.9
3.015, 29.63, 27.8
2.829, 31.63, 28.1
2.721, 32.92, 27.1
2.582, 34.75, 18.9
2.508, 35.81, 100.0
2.063, 43.89, 33.2
1.624, 56.67, 22.3
1.564, 59.08, 23.7

Structure:
Unit cell a=5.6577 b=6.3157 c=6.0302 alpha=90.00 beta=90.00 gamma=90.00
Space group Pmma (No. 51)
Symmetry-distinct sites (fractional):
1 Ac 0.2500 0.0000 0.2426
2 Al 0.2500 0.5000 0.3754
3 V 0.0000 0.5000 0.0000
4 Ge 0.2500 0.2662 0.7399


# Tb8Pr4Ho3
Theoretical powder diffraction line list, Cu Ka. Input: the GGA-PBE geometry in Alexandria.
Kinematic intensities with the Lorentz-polarization factor, no thermal factor.

Main lines, low angle first (10° ≤ 2θ ≤ 80°):
d_spacing, 2θ (°), I_rel
3.353, 26.58, 15.6
3.015, 29.63, 23.4
2.981, 29.98, 67.1
2.866, 31.20, 100.0
2.506, 35.83, 73.0
1.798, 50.78, 27.0
1.747, 52.36, 36.1
1.539, 60.10, 17.2
1.507, 61.52, 44.5
1.491, 62.25, 20.2

Structure:
Unit cell a=6.9889 b=6.9889 c=35.7592 alpha=90.00 beta=90.00 gamma=120.00
Space group R-3m (No. 166, hexagonal axes)
Symmetry-distinct sites (fractional):
1 Tb 0.0000 0.0000 0.2446
2 Tb 0.0018 0.5009 0.7516
3 Pr 0.0000 0.0000 0.0000
4 Pr 0.0000 0.0000 0.3365
5 Pr 0.0000 0.0000 0.5000
6 Ho 0.0000 0.5000 0.5000


# PmIn2Sn2
Theoretical powder diffraction line list, Cu Ka. Input: the GGA-PBE geometry in Alexandria.
Kinematic intensities with the Lorentz-polarization factor, no thermal factor.

Main lines, low angle first (10° ≤ 2θ ≤ 80°):
d_spacing, 2θ (°), I_rel
2.732, 32.78, 100.0
2.640, 33.96, 22.1
2.270, 39.70, 15.0
2.245, 40.18, 14.5
1.721, 53.21, 12.3
1.710, 53.60, 12.0
1.541, 60.03, 16.3
1.384, 67.69, 12.3
1.372, 68.36, 12.0
1.366, 68.72, 11.5

Structure:
Unit cell a=4.4890 b=26.3979 c=4.5409 alpha=90.00 beta=90.00 gamma=90.00
Space group Cmcm (No. 63)
Symmetry-distinct sites (fractional):
1 Pm 0.0000 0.1532 0.2500
2 In 0.0000 0.0515 0.7500
3 In 0.0000 0.4516 0.7500
4 Sn 0.0000 0.2502 0.7500
5 Sn 0.0000 0.3558 0.2500


# NiHgBPC
Theoretical powder diffraction line list, Cu Ka. Input: the GGA-PBE geometry in Alexandria.
Kinematic intensities with the Lorentz-polarization factor, no thermal factor.

Main lines, low angle first (10° ≤ 2θ ≤ 80°):
d_spacing, 2θ (°), I_rel
5.979, 14.82, 100.0
3.912, 22.73, 90.6
2.898, 30.85, 55.1
2.858, 31.30, 54.5
2.700, 33.18, 46.7
2.577, 34.81, 69.5
2.132, 42.39, 49.9
1.992, 45.54, 44.3
1.932, 47.03, 43.4
1.896, 47.98, 33.8

Structure:
Unit cell a=8.3195 b=2.8771 c=6.3586 alpha=90.00 beta=109.89 gamma=90.00
Space group Cm (No. 8)
Symmetry-distinct sites (fractional):
1 Ni 0.0000 0.0000 0.0000
2 Hg 0.1258 0.5000 0.7210
3 B 0.3882 0.0000 0.1199
4 P 0.1579 0.5000 0.3038
5 C 0.2542 0.0000 0.2334


# LiPb4
Theoretical powder diffraction line list, Cu Ka. Input: the GGA-PBE geometry in Alexandria.
Kinematic intensities with the Lorentz-polarization factor, no thermal factor.

Main lines, low angle first (10° ≤ 2θ ≤ 80°):
d_spacing, 2θ (°), I_rel
3.364, 26.50, 34.5
3.145, 28.38, 35.9
2.714, 33.00, 100.0
2.297, 39.21, 25.4
2.128, 42.49, 9.4
1.762, 51.88, 9.7
1.720, 53.25, 24.9
1.580, 58.43, 32.1
1.416, 65.97, 12.8
1.288, 73.55, 15.6

Structure:
Unit cell a=6.7281 b=6.7281 c=6.2905 alpha=90.00 beta=90.00 gamma=90.00
Space group P4/nbm (No. 125, origin choice 2)
Symmetry-distinct sites (fractional):
1 Li 0.2500 0.2500 0.0000
2 Pb 0.0708 0.5708 0.2642


# La2YP2Cl2
Theoretical powder diffraction line list, Cu Ka. Input: the GGA-PBE geometry in Alexandria.
Kinematic intensities with the Lorentz-polarization factor, no thermal factor.

Main lines, low angle first (10° ≤ 2θ ≤ 80°):
d_spacing, 2θ (°), I_rel
7.414, 11.94, 40.8
3.745, 23.76, 100.0
3.614, 24.64, 31.1
2.648, 33.85, 70.3
2.635, 34.03, 25.2
2.588, 34.67, 94.9
1.873, 48.62, 24.3
1.851, 49.23, 71.9
1.518, 61.06, 25.6
1.317, 71.68, 26.5

Structure:
Unit cell a=5.2967 b=5.2967 c=14.8276 alpha=90.00 beta=90.00 gamma=90.00
Space group I4/mmm (No. 139)
Symmetry-distinct sites (fractional):
1 La 0.0000 0.0000 0.1095
2 Y 0.0000 0.0000 0.5000
3 P 0.0000 0.5000 0.0000
4 Cl 0.0000 0.0000 0.3061